# 1
# Sm2Co3Ge5
Simulated powder diffractogram, Cu Kα (weighted mean of Kα1 and Kα2). Input: a GGA-PBE-relaxed structure.
Kinematic intensities with the Lorentz-polarization factor, no thermal factor.

Top 12 peaks for 5° ≤ 2θ ≤ 70°, in order of falling intensity:
Position (°2θ)  d/Å  Rel. int.
43.66  2.073  100
35.53  2.527  94
35.41  2.535  63
35.71  2.515  63
36.34  2.472  51
34.93  2.569  47
58.11  1.587  21
37.03  2.427  20
57.09  1.613  20
64.11  1.453  20
30.78  2.905  18
51.70  1.768  18

Cell and atoms:
a b c (Å): 8.155 8.155 5.812
angles (deg): 110.17 110.17 93.06
Element x y z (fractional)
Sm1 0.096 0.371 0.234
Sm2 0.371 0.096 0.734
Sm3 0.629 0.904 0.266
Sm4 0.904 0.629 0.766
Co1 0.039 0.760 0.385
Co2 0.240 0.961 0.115
Co3 0.498 0.502 0.250
Co4 0.502 0.498 0.750
Co5 0.760 0.039 0.885
Co6 0.961 0.240 0.615
Ge1 0.006 0.994 0.750
Ge2 0.240 0.428 0.832
Ge3 0.272 0.728 0.750
Ge4 0.281 0.719 0.250
Ge5 0.428 0.240 0.332
Ge6 0.572 0.760 0.668
Ge7 0.719 0.281 0.750
Ge8 0.728 0.272 0.250
Ge9 0.760 0.572 0.168
Ge10 0.994 0.006 0.250


# 2
# Sm2Co16Ge
Simulated powder diffractogram, Cu Kα (weighted mean of Kα1 and Kα2). Input: a GGA-PBE-relaxed structure.
Kinematic intensities with the Lorentz-polarization factor, no thermal factor.

Top 12 peaks for 5° ≤ 2θ ≤ 70°, in order of falling intensity:
Position (°2θ)  d/Å  Rel. int.
43.55  2.078  100
43.16  2.096  70
37.15  2.420  44
38.62  2.332  39
30.67  2.915  36
44.69  2.028  31
48.92  1.862  25
44.46  2.038  22
44.84  2.021  16
62.98  1.476  16
63.87  1.457  14
31.90  2.805  13

Cell and atoms:
a b c (Å): 6.315 6.315 6.315
angles (deg): 83.18 83.18 83.18
Element x y z (fractional)
Sm1 0.000 0.000 0.000
Sm2 0.307 0.307 0.307
Co1 0.000 0.000 0.503
Co2 0.000 0.503 0.000
Co3 0.154 0.648 0.648
Co4 0.306 0.306 0.801
Co5 0.306 0.801 0.306
Co6 0.361 0.649 0.938
Co7 0.361 0.938 0.649
Co8 0.503 0.000 0.000
Co9 0.552 0.552 0.552
Co10 0.648 0.154 0.648
Co11 0.648 0.648 0.154
Co12 0.649 0.361 0.938
Co13 0.649 0.938 0.361
Co14 0.801 0.306 0.306
Co15 0.938 0.361 0.649
Co16 0.938 0.649 0.361
Ge1 0.749 0.749 0.749